The following is a computed PXRD pattern of Lu3Ge4. It was derived from a cell relaxed with PBE, using a wavelength of 1.5418 Å.
No peak broadening, texture or thermal motion is included.

Crystal structure
Cell lengths 3.999, 10.541, 14.164 Å; angles 90.00, 90.00, 90.00 degrees
Space group Cmcm (No. 63)
One atom of each set of equivalent atoms:
Lu (0.000, 0.049, 0.250)
Lu (0.000, 0.332, 0.097)
Ge (0.000, 0.000, 0.000)
Ge (0.000, 0.221, 0.750)
Ge (0.000, 0.380, 0.608)

Main lines, in order of rising 2θ (2θ from 5° to 70°):
index  Position (°2θ)  d (Å)  I/Imax
0 2 3  25.3  3.517  24
1 1 2  27.0  3.306  28
0 2 4  30.5  2.935  53
1 3 0  34.0  2.639  80
0 4 1  34.6  2.591  42
1 1 4  34.9  2.571  100
0 0 6  38.1  2.361  27
1 3 3  39.1  2.304  33
0 4 4  42.8  2.115  35
2 0 0  45.4  1.999  37


The following is a computed PXRD pattern of Lu5Ge4. It was derived from a cell relaxed with PBE, using a wavelength of 1.5418 Å.
No peak broadening, texture or thermal motion is included.

Crystal structure
Cell lengths 7.486, 14.387, 7.553 Å; angles 90.00, 90.00, 90.00 degrees
Space group Pnma (No. 62)
One atom of each set of equivalent atoms:
Lu (0.030, 0.100, 0.176)
Lu (0.120, 0.618, 0.339)
Lu (0.215, 0.250, 0.501)
Ge (0.083, 0.250, 0.880)
Ge (0.161, 0.750, 0.641)
Ge (0.219, 0.044, 0.532)

Main lines, in order of rising 2θ (2θ from 5° to 70°):
index  Position (°2θ)  d (Å)  I/Imax
2 0 1  26.6  3.352  29
1 3 2  32.5  2.758  100
2 3 1  32.6  2.748  36
2 0 2  33.7  2.659  34
0 4 2  34.4  2.605  42
2 4 0  34.6  2.593  34
2 4 1  36.6  2.453  56
0 6 0  37.5  2.398  28
1 1 3  38.2  2.354  49
3 1 1  38.5  2.338  29